# 1
NaPu2IrO8: simulated PXRD pattern (Cu Kα X-rays), based on a cell relaxed with GGA-PBE.
No peak broadening, texture or thermal motion is included.

Structural model:
abc: 6.381 6.381 6.381
angles: 132.45 132.45 69.52
Element x y z (fractional)
Na 0.000 0.000 0.000
Pu 0.250 0.750 0.500
Pu 0.500 0.500 0.000
Ir 0.750 0.250 0.500
O 0.113 0.133 0.513
O 0.113 0.599 0.980
O 0.401 0.380 0.513
O 0.401 0.887 0.020
O 0.620 0.133 0.020
O 0.620 0.599 0.487
O 0.867 0.380 0.980
O 0.867 0.887 0.487

Top 10 peaks for 2θ = 10–80°, low angle first:
Position (°2θ)	I_rel
19.22	29
29.90	100
34.21	11
34.88	22
40.12	9
49.66	34
50.15	17
58.61	15
59.49	30
62.11	10

# 2
Na2PuIrO5: simulated PXRD pattern (Cu Kα X-rays), based on a cell relaxed with GGA-PBE.
No peak broadening, texture or thermal motion is included.

Structural model:
abc: 6.142 6.142 5.836
angles: 90.00 90.00 90.00
Element x y z (fractional)
Na 0.160 0.340 0.000
Na 0.340 0.840 0.000
Na 0.660 0.160 0.000
Na 0.840 0.660 0.000
Pu 0.000 0.000 0.500
Pu 0.500 0.500 0.500
Ir 0.000 0.500 0.500
Ir 0.500 0.000 0.500
O 0.000 0.000 0.000
O 0.167 0.667 0.287
O 0.167 0.667 0.713
O 0.333 0.167 0.287
O 0.333 0.167 0.713
O 0.500 0.500 0.000
O 0.667 0.833 0.287
O 0.667 0.833 0.713
O 0.833 0.333 0.287
O 0.833 0.333 0.713

Top 10 peaks for 2θ = 10–80°, low angle first:
Position (°2θ)	I_rel
15.18	100
29.08	47
30.64	25
32.96	81
41.59	27
42.75	45
44.52	33
52.53	24
55.96	21
70.44	17

# 3
Rb2Na2IrO6: simulated PXRD pattern (Cu Kα X-rays), based on a cell relaxed with GGA-PBE.
No peak broadening, texture or thermal motion is included.

Structural model:
abc: 5.774 5.774 6.689
angles: 100.02 100.02 116.64
Element x y z (fractional)
Rb 0.180 0.820 0.000
Rb 0.820 0.180 0.000
Na 0.340 0.660 0.500
Na 0.660 0.340 0.500
Ir 0.000 0.000 0.500
O 0.053 0.328 0.674
O 0.199 0.199 0.330
O 0.328 0.053 0.674
O 0.672 0.947 0.326
O 0.801 0.801 0.670
O 0.947 0.672 0.326

Top 10 peaks for 2θ = 10–80°, low angle first:
Position (°2θ)	I_rel
17.94	100
22.94	68
28.28	30
28.88	23
31.26	21
32.34	36
34.65	32
36.75	54
49.47	18
53.26	17

# 4
NaIrRhO4: simulated PXRD pattern (Cu Kα X-rays), based on a cell relaxed with GGA-PBE.
No peak broadening, texture or thermal motion is included.

Structural model:
abc: 6.324 6.324 6.324
angles: 120.40 119.25 90.31
Element x y z (fractional)
Na 0.377 0.127 0.250
Na 0.623 0.873 0.750
Ir 0.000 0.500 0.500
Ir 0.500 0.500 0.000
Rh 0.000 0.000 0.500
Rh 0.000 0.500 0.000
O 0.185 0.726 0.459
O 0.232 0.279 0.547
O 0.232 0.686 0.953
O 0.233 0.274 0.959
O 0.767 0.726 0.041
O 0.768 0.314 0.047
O 0.768 0.721 0.453
O 0.815 0.274 0.541

Top 10 peaks for 2θ = 10–80°, low angle first:
Position (°2θ)	I_rel
17.06	32
17.26	100
32.99	48
33.29	24
33.34	23
34.51	29
34.93	28
40.23	36
53.28	19
58.37	29

# 5
Na2ScIrO6: simulated PXRD pattern (Cu Kα X-rays), based on a cell relaxed with GGA-PBE.
No peak broadening, texture or thermal motion is included.

Structural model:
abc: 5.504 5.555 9.581
angles: 90.00 124.97 90.00
Element x y z (fractional)
Na 0.246 0.029 0.250
Na 0.246 0.471 0.750
Na 0.754 0.529 0.250
Na 0.754 0.971 0.750
Sc 0.500 0.000 0.000
Sc 0.500 0.500 0.500
Ir 0.000 0.000 0.500
Ir 0.000 0.500 0.000
O 0.161 0.220 0.965
O 0.161 0.280 0.465
O 0.246 0.699 0.966
O 0.246 0.801 0.466
O 0.306 0.014 0.739
O 0.306 0.486 0.239
O 0.694 0.514 0.761
O 0.694 0.986 0.261
O 0.754 0.199 0.534
O 0.754 0.301 0.034
O 0.839 0.720 0.535
O 0.839 0.780 0.035

Top 10 peaks for 2θ = 10–80°, low angle first:
Position (°2θ)	I_rel
19.58	45
19.70	45
22.71	100
32.27	56
32.34	37
32.54	18
38.05	32
46.45	25
52.13	22
57.51	24

# 6
Na2SmIrO4: simulated PXRD pattern (Cu Kα X-rays), based on a cell relaxed with GGA-PBE.
No peak broadening, texture or thermal motion is included.

Structural model:
abc: 5.875 5.875 6.540
angles: 90.00 90.00 90.00
Element x y z (fractional)
Na 0.000 0.000 0.000
Na 0.000 0.500 0.250
Na 0.500 0.000 0.750
Na 0.500 0.500 0.500
Sm 0.000 0.000 0.500
Sm 0.500 0.500 0.000
Ir 0.000 0.500 0.750
Ir 0.500 0.000 0.250
O 0.186 0.779 0.741
O 0.221 0.186 0.259
O 0.279 0.314 0.759
O 0.314 0.721 0.241
O 0.686 0.279 0.241
O 0.721 0.686 0.759
O 0.779 0.814 0.259
O 0.814 0.221 0.741

Top 10 peaks for 2θ = 10–80°, low angle first:
Position (°2θ)	I_rel
20.32	100
30.43	45
34.92	84
36.87	40
43.57	28
44.32	13
54.71	14
57.01	44
58.36	13
73.75	11

Repeat the sixth record exactly.
Na2SmIrO4: simulated PXRD pattern (Cu Kα X-rays), based on a cell relaxed with GGA-PBE.
No peak broadening, texture or thermal motion is included.

Structural model:
abc: 5.875 5.875 6.540
angles: 90.00 90.00 90.00
Element x y z (fractional)
Na 0.000 0.000 0.000
Na 0.000 0.500 0.250
Na 0.500 0.000 0.750
Na 0.500 0.500 0.500
Sm 0.000 0.000 0.500
Sm 0.500 0.500 0.000
Ir 0.000 0.500 0.750
Ir 0.500 0.000 0.250
O 0.186 0.779 0.741
O 0.221 0.186 0.259
O 0.279 0.314 0.759
O 0.314 0.721 0.241
O 0.686 0.279 0.241
O 0.721 0.686 0.759
O 0.779 0.814 0.259
O 0.814 0.221 0.741

Top 10 peaks for 2θ = 10–80°, low angle first:
Position (°2θ)	I_rel
20.32	100
30.43	45
34.92	84
36.87	40
43.57	28
44.32	13
54.71	14
57.01	44
58.36	13
73.75	11